This entry pairs a crystal structure of PrZnRh with its computed X-ray powder pattern. Radiation: λ = 1.5418 Å (Cu Kα). Structure: a GGA-PBE-relaxed structure.
Neutral-atom scattering factors, no anomalous dispersion.

Atomic structure:
Cell lengths 7.3379, 4.0584, 16.6490 Å; angles 90.00, 90.00, 90.00 degrees
Element x y z (fractional)
1 Pr 0.0471 0.2500 0.2165
2 Pr 0.1675 0.2500 0.4395
3 Pr 0.3325 0.7500 0.9395
4 Pr 0.4529 0.7500 0.7165
5 Pr 0.5471 0.2500 0.2835
6 Pr 0.6675 0.2500 0.0605
7 Pr 0.8325 0.7500 0.5605
8 Pr 0.9529 0.7500 0.7835
9 Zn 0.0014 0.7500 0.0605
10 Zn 0.1256 0.2500 0.6503
11 Zn 0.3744 0.7500 0.1503
12 Zn 0.4986 0.2500 0.5605
13 Zn 0.5014 0.7500 0.4395
14 Zn 0.6256 0.2500 0.8497
15 Zn 0.8744 0.7500 0.3497
16 Zn 0.9986 0.2500 0.9395
17 Rh 0.2419 0.2500 0.0649
18 Rh 0.2480 0.2500 0.8141
19 Rh 0.2520 0.7500 0.3141
20 Rh 0.2581 0.7500 0.5649
21 Rh 0.7419 0.2500 0.4351
22 Rh 0.7480 0.2500 0.6859
23 Rh 0.7520 0.7500 0.1859
24 Rh 0.7581 0.7500 0.9351

Peak list (8 most intense, 15° ≤ 2θ ≤ 90°, low angle first)
2θ 32.91, I 42, hkl 2 1 0
2θ 33.16, I 72, hkl 1 1 4
2θ 34.85, I 54, hkl 0 1 5
2θ 36.44, I 22, hkl 2 0 5
2θ 36.78, I 100, hkl 2 1 3
2θ 42.90, I 48, hkl 3 0 4
2θ 43.50, I 30, hkl 0 0 8
2θ 44.66, I 45, hkl 0 2 0